# Tm3Tl2
Theoretical powder diffraction line list, copper Kα. Input: a GGA-PBE-relaxed structure.
Neutral-atom scattering factors, no anomalous dispersion.

Most intense lines, 2θ from 15° to 90°, in order of falling intensity:
2θ (°)  intensity
32.6  100.0
33.5  83.4
29.4  65.1
31.7  37.9
48.6  36.4
37.5  35.5
80.0  25.9
54.3  24.1

Crystal structure
```
Tm3Tl2
1.0
-3.034 3.034 7.692
3.034 -3.034 7.692
3.034 3.034 -7.692
Tm Tl
6 4
direct
0.000 0.000 0.000
0.000 0.000 0.500
0.000 0.500 0.000
0.375 0.625 0.750
0.500 0.000 0.500
0.625 0.375 0.250
0.178 0.428 0.750
0.428 0.178 0.250
0.572 0.822 0.750
0.822 0.572 0.250
```

***

# YTm12Tl3
Theoretical powder diffraction line list, copper Kα. Input: a GGA-PBE-relaxed structure.
Neutral-atom scattering factors, no anomalous dispersion.

Most intense lines, 2θ from 15° to 90°, in order of falling intensity:
2θ (°)  intensity
32.0  100.0
37.4  33.4
64.1  27.7
53.4  23.1
36.7  16.8
63.1  13.2
53.9  11.8
66.9  11.7

Crystal structure
```
YTm12Tl3
1.0
4.813 0.000 0.000
0.000 4.813 0.000
0.000 0.000 19.609
Y Tm Tl
1 12 3
direct
0.000 0.000 0.000
0.000 0.500 0.130
0.000 0.500 0.378
0.000 0.500 0.622
0.000 0.500 0.870
0.500 0.000 0.130
0.500 0.000 0.378
0.500 0.000 0.622
0.500 0.000 0.870
0.500 0.500 0.000
0.500 0.500 0.255
0.500 0.500 0.500
0.500 0.500 0.745
0.000 0.000 0.256
0.000 0.000 0.500
0.000 0.000 0.744
```